Starting from a structure optimized by DFT (GGA-PBE), the XRD peak list of Ti5NbO12 was calculated for Cu Kα (weighted mean of Kα1 and Kα2).
Peak positions follow from Bragg's law for the DFT cell and can differ from measured ones.

Structural model:
```
data_Ti5NbO12
_cell_length_a 8.9268
_cell_length_b 6.6587
_cell_length_c 7.2691
_cell_angle_alpha 90.00
_cell_angle_beta 113.62
_cell_angle_gamma 90.00
_space_group_name_H-M_alt 'C 1 2/m 1'
_space_group_IT_number 12
_space_group_name_Hall '-C 2y'
loop_
_atom_site_label
_atom_site_fract_x
_atom_site_fract_y
_atom_site_fract_z
_atom_site_occupancy
Ti1 0.0000 0.0000 0.0000 1
Ti2 0.1615 0.5000 0.1629 1
Ti3 0.1623 0.5000 0.6736 1
Nb1 0.0000 0.0000 0.5000 1
O1 0.0000 0.3046 0.0000 1
O2 0.0655 0.5000 0.3708 1
O3 0.1017 0.0000 0.2947 1
O4 0.1697 0.1984 0.6693 1
O5 0.2311 0.0000 0.0347 1
```

The 8 most intense peaks (10° ≤ 2θ ≤ 80°), in order of rising 2θ:
d [Å], I (rel.), h k l
3.329, 99, 0 2 0
3.313, 97, 2 0 -2
2.523, 100, 3 1 0
2.224, 31, 2 2 1
1.721, 58, 3 3 0
1.717, 58, 1 1 -4
1.387, 41, 1 3 -4
1.364, 21, 2 0 4

***

Starting from a structure optimized by DFT (GGA-PBE), the XRD peak list of TiNb3O8 was calculated for Cu Kα (weighted mean of Kα1 and Kα2).
Peak positions follow from Bragg's law for the DFT cell and can differ from measured ones.

Structural model:
```
data_TiNb3O8
_cell_length_a 6.1667
_cell_length_b 6.1667
_cell_length_c 9.3496
_cell_angle_alpha 90.00
_cell_angle_beta 90.00
_cell_angle_gamma 120.00
_space_group_name_H-M_alt 'P 63 m c'
_space_group_IT_number 186
_space_group_name_Hall 'P 6c -2c'
loop_
_atom_site_label
_atom_site_fract_x
_atom_site_fract_y
_atom_site_fract_z
_atom_site_occupancy
Ti1 0.3333 0.6667 0.0000 1
Nb1 0.1697 0.3394 0.7217 1
O1 0.0000 0.0000 0.3280 1
O2 0.0515 0.5257 0.8544 1
O3 0.1735 0.3470 0.1115 1
O4 0.3333 0.6667 0.6022 1
```

The 8 most intense peaks (10° ≤ 2θ ≤ 80°), in order of rising 2θ:
d [Å], I (rel.), h k l
4.675, 80, 0 0 2
4.637, 72, 1 0 1
2.569, 100, 2 0 1
2.319, 30, 2 0 2
2.028, 56, 2 0 3
1.542, 29, 2 2 0
1.532, 32, 2 0 5
1.464, 22, 2 2 2

***

Starting from a structure optimized by DFT (GGA-PBE), the XRD peak list of TiNb6Tl2O18 was calculated for Cu Kα (weighted mean of Kα1 and Kα2).
Peak positions follow from Bragg's law for the DFT cell and can differ from measured ones.

Structural model:
```
data_TiNb6Tl2O18
_cell_length_a 13.3183
_cell_length_b 7.6888
_cell_length_c 8.3269
_cell_angle_alpha 90.00
_cell_angle_beta 90.00
_cell_angle_gamma 90.00
_space_group_name_H-M_alt 'C 1 2 1'
_space_group_IT_number 5
_space_group_name_Hall 'C 2y'
loop_
_atom_site_label
_atom_site_fract_x
_atom_site_fract_y
_atom_site_fract_z
_atom_site_occupancy
Ti1 0.0000 0.0000 0.0000 1
Nb1 0.0840 0.2518 0.6526 1
Nb2 0.0839 0.7480 0.6525 1
Nb3 0.1679 0.9999 0.3474 1
Tl1 0.1669 0.4991 0.2189 1
O1 0.0514 0.4999 0.6621 1
O2 0.0598 0.1792 0.8619 1
O3 0.0597 0.8208 0.8618 1
O4 0.0717 0.2151 0.3989 1
O5 0.0717 0.7847 0.3989 1
O6 0.1195 0.0000 0.1381 1
O7 0.1435 0.9999 0.6011 1
O8 0.2243 0.3270 0.6621 1
O9 0.2243 0.6729 0.6622 1
```

The 8 most intense peaks (10° ≤ 2θ ≤ 80°), in order of rising 2θ:
d [Å], I (rel.), h k l
8.327, 25, 0 0 1
4.163, 19, 0 0 2
3.530, 34, 2 0 -2
3.490, 16, 3 1 -1
3.329, 22, 2 2 0
3.091, 100, 4 0 1
1.922, 28, 6 2 0
1.632, 15, 4 4 1

***

Starting from a structure optimized by DFT (GGA-PBE), the XRD peak list of TiNbTlO5 was calculated for Cu Kα (weighted mean of Kα1 and Kα2).
Peak positions follow from Bragg's law for the DFT cell and can differ from measured ones.

Structural model:
```
data_TiNbTlO5
_cell_length_a 6.5390
_cell_length_b 3.8319
_cell_length_c 19.3336
_cell_angle_alpha 90.00
_cell_angle_beta 90.00
_cell_angle_gamma 90.00
_space_group_name_H-M_alt 'P n m a'
_space_group_IT_number 62
_space_group_name_Hall '-P 2ac 2n'
loop_
_atom_site_label
_atom_site_fract_x
_atom_site_fract_y
_atom_site_fract_z
_atom_site_occupancy
Ti1 0.1764 0.2500 0.0333 1
Nb1 0.2198 0.2500 0.3940 1
Tl1 0.2478 0.2500 0.6954 1
O1 0.0298 0.2500 0.1168 1
O2 0.0708 0.7500 0.5701 1
O3 0.1421 0.7500 0.0099 1
O4 0.1569 0.2500 0.3028 1
O5 0.2360 0.7500 0.4242 1
```

The 8 most intense peaks (10° ≤ 2θ ≤ 80°), in order of rising 2θ:
d [Å], I (rel.), h k l
3.887, 65, 1 0 4
3.294, 54, 0 1 3
3.267, 74, 2 0 0
2.942, 100, 1 1 3
2.890, 60, 1 0 6
2.467, 21, 2 1 1
2.320, 21, 2 1 3
1.916, 21, 0 2 0